# Lu3Cu4Si2Ge2
Calculated powder diffractogram, copper Kα. Input: a cell relaxed with GGA-PBE.
Kinematic intensities with the Lorentz-polarization factor, no thermal factor.

Main lines, in order of falling intensity (10 to 90 degrees two-theta):
2θ = 35.7°, d = 2.515 Å, rel. 100.0
2θ = 36.9°, d = 2.433 Å, rel. 88.3
2θ = 44.0°, d = 2.059 Å, rel. 28.2
2θ = 46.2°, d = 1.965 Å, rel. 19.9
2θ = 22.6°, d = 3.941 Å, rel. 18.8
2θ = 27.3°, d = 3.271 Å, rel. 17.9

abc: 7.8181 7.8181 7.8181
angles: 149.46 130.54 59.25
Element x y z (fractional)
Lu: 0.0000 0.0000 0.0000
Lu: 0.3721 0.8721 0.5000
Lu: 0.6279 0.1279 0.5000
Cu: 0.0272 0.3347 0.6925
Cu: 0.3578 0.6653 0.6925
Cu: 0.6422 0.3347 0.3075
Cu: 0.9728 0.6653 0.3075
Si: 0.3150 0.5000 0.8150
Si: 0.6850 0.5000 0.1850
Ge: 0.2168 0.2168 0.0000
Ge: 0.7832 0.7832 0.0000